No. 1
Diffraction record for Sm2C3. The powder X-ray diffraction pattern is simulated, not measured: it uses a cell relaxed with GGA-PBE and Cu Kα (λ = 1.5418 Å).
Peak positions follow from Bragg's law for the DFT cell and can differ from measured ones.

Cell and atoms:
```
20
Lattice="-4.2387 4.2387 4.2387 4.2387 -4.2387 4.2387 4.2387 4.2387 -4.2387" Properties=species:S:1:pos:R:3 pbc="T T T"
Sm 2.5547 1.6840 -1.6840
Sm 4.6741 -0.4354 0.4354
Sm 1.6840 -1.6840 2.5547
Sm 1.6840 1.6840 1.6840
Sm -1.6840 2.5547 1.6840
Sm 0.4354 4.6741 -0.4354
Sm -0.4354 0.4354 4.6741
Sm 3.8033 3.8033 3.8033
C 4.2387 -2.1193 2.5126
C 4.2387 -2.1193 3.8455
C 2.5126 4.2387 -2.1193
C 3.8455 4.2387 -2.1193
C 4.2387 2.1193 0.3932
C 4.2387 2.1193 1.7261
C 2.1193 0.3932 4.2387
C 2.1193 1.7261 4.2387
C 0.3932 4.2387 2.1193
C 1.7261 4.2387 2.1193
C -2.1193 2.5126 4.2387
C -2.1193 3.8455 4.2387
```

Top 12 peaks for 10° ≤ 2θ ≤ 90°, most intense first:
2theta	intensity
33.43	100.0
29.81	95.3
55.25	65.7
39.79	51.9
25.74	47.2
59.75	27.7
50.50	27.5
83.87	19.9
72.22	19.4
85.77	16.3
52.91	15.8
68.19	12.1

No. 2
Diffraction record for InCuO3. The powder X-ray diffraction pattern is simulated, not measured: it uses a cell relaxed with GGA-PBE and Cu Kα (λ = 1.5418 Å).
Peak positions follow from Bragg's law for the DFT cell and can differ from measured ones.

Cell and atoms:
```
15
Lattice="3.4473 0.0000 0.0000 -1.7237 2.9855 0.0000 0.0000 0.0000 17.1216" Properties=species:S:1:pos:R:3 pbc="T T T"
In 0.0000 0.0000 0.0000
In 0.0000 1.9903 11.4144
In 1.7237 0.9952 5.7072
Cu 0.0000 0.0000 8.4714
Cu 0.0000 1.9903 2.7642
Cu 1.7237 0.9952 14.1786
O 0.0000 0.0000 2.6453
O 0.0000 0.0000 6.6076
O 0.0000 0.0000 10.3486
O 0.0000 1.9903 0.9004
O 0.0000 1.9903 4.6414
O 0.0000 1.9903 14.0597
O 1.7237 0.9952 8.3525
O 1.7237 0.9952 12.3148
O 1.7237 0.9952 16.0558
```

Top 12 peaks for 10° ≤ 2θ ≤ 90°, most intense first:
2theta	intensity
31.74	100.0
36.70	40.1
53.14	33.4
31.35	32.8
52.62	27.6
63.00	24.7
62.53	14.8
63.23	12.7
15.53	12.4
87.12	10.3
40.07	10.0
89.08	9.5

No. 3
Diffraction record for Na3YBr6. The powder X-ray diffraction pattern is simulated, not measured: it uses a cell relaxed with GGA-PBE and Cu Kα (λ = 1.5418 Å).
Peak positions follow from Bragg's law for the DFT cell and can differ from measured ones.

Cell and atoms:
```
10
Lattice="0.0000 5.6375 5.6375 5.6375 0.0000 5.6375 5.6375 5.6375 0.0000" Properties=species:S:1:pos:R:3 pbc="T T T"
Na 0.0000 0.0000 0.0000
Na 2.8187 2.8187 2.8187
Na 8.4562 8.4562 8.4562
Y 5.6375 5.6375 5.6375
Br 5.6375 5.6375 2.8590
Br 5.6375 2.8590 5.6375
Br 8.4160 5.6375 5.6375
Br 2.8590 5.6375 5.6375
Br 5.6375 8.4160 5.6375
Br 5.6375 5.6375 8.4160
```

Top 12 peaks for 10° ≤ 2θ ≤ 90°, most intense first:
2theta	intensity
31.75	100.0
27.40	83.0
45.51	71.2
15.72	70.2
53.94	35.7
35.61	35.7
75.40	30.5
56.55	24.4
84.12	23.0
48.44	18.2
13.60	14.5
73.18	14.2